TmBe5Fe7: simulated XRD peak list (Cu Ka), based on the GGA-PBE geometry in Alexandria.

Principal peaks in the range 2θ from 10° to 90°, in order of falling intensity:
h k l	d_spacing	I/Imax
1 3 2	1.974	100
1 2 3	1.982	86
0 0 2	3.994	85
1 3 0	2.271	69
2 0 0	2.253	68
1 2 1	2.782	46
1 1 0	3.917	46
1 0 3	2.292	42

Structural model:
```
data_TmBe5Fe7
_symmetry_space_group_name_H-M 'I m m 2'
_symmetry_Int_Tables_number 44
_symmetry_space_group_name_Hall 'I 2 -2'
_cell_length_a 4.5055
_cell_length_b 7.8902
_cell_length_c 7.9871
_cell_angle_alpha 90.00
_cell_angle_beta 90.00
_cell_angle_gamma 90.00
loop_
_atom_site_label
_atom_site_fract_x
_atom_site_fract_y
_atom_site_fract_z
Tm1 0.0000 0.0000 0.0000
Be1 0.0000 0.5000 0.2703
Be2 0.2501 0.2466 0.7533
Fe1 0.0000 0.0000 0.3584
Fe2 0.0000 0.0000 0.6407
Fe3 0.0000 0.2819 0.5035
Fe4 0.0000 0.3563 0.0014
Fe5 0.0000 0.5000 0.7251
```

***

Er2Fe6Co6P7: simulated XRD peak list (Cu Ka), based on the GGA-PBE geometry in Alexandria.

Principal peaks in the range 2θ from 10° to 90°, in order of falling intensity:
h k l	d_spacing	I/Imax
2 1 1	2.275	100
1 4 0	1.693	17
0 0 2	1.802	16
1 0 1	3.269	13
1 4 2	1.234	12
3 2 1	1.596	11
3 0 0	2.586	10
2 1 0	2.933	10

Structural model:
```
data_Er2Fe6Co6P7
_symmetry_space_group_name_H-M 'P -6'
_symmetry_Int_Tables_number 174
_symmetry_space_group_name_Hall 'P -6'
_cell_length_a 8.9598
_cell_length_b 8.9598
_cell_length_c 3.6049
_cell_angle_alpha 90.00
_cell_angle_beta 90.00
_cell_angle_gamma 120.00
loop_
_atom_site_label
_atom_site_fract_x
_atom_site_fract_y
_atom_site_fract_z
Er1 0.0000 0.0000 0.0000
Er2 0.3333 0.6667 0.5000
Fe1 0.1007 0.7185 0.0000
Fe2 0.4478 0.2095 0.0000
Co1 0.0354 0.2709 0.5000
Co2 0.5106 0.4515 0.5000
P1 0.0705 0.4477 0.0000
P2 0.2568 0.2220 0.5000
P3 0.6667 0.3333 0.5000
```